KY: theoretical X-ray powder pattern (Cu Kα X-rays), based on a crystal structure in Alexandria, relaxed with GGA-PBE.

Main lines, by angle (10° ≤ 2θ ≤ 90°):
2theta, Rel. int.
25.3, 28
28.4, 100
30.9, 22
31.7, 12
32.0, 60
35.9, 21
47.9, 23
54.9, 17
56.6, 13
58.6, 12

Atomic structure:
a = 14.272 Å, b = 14.272 Å, c = 14.272 Å
α = 15.30°, β = 15.30°, γ = 15.30°
Fractional coordinates of all 4 atoms:
K 0.117 0.117 0.117
K 0.883 0.883 0.883
Y 0.365 0.365 0.365
Y 0.635 0.635 0.635



Cs2SrAcCl6: theoretical X-ray powder pattern (Cu Kα X-rays), based on a crystal structure in Alexandria, relaxed with GGA-PBE.

Main lines, by angle (10° ≤ 2θ ≤ 90°):
2theta, Rel. int.
13.8, 18
15.3, 12
20.2, 28
21.7, 100
23.0, 23
30.7, 50
30.9, 27
36.2, 25
39.6, 23
44.2, 34

Atomic structure:
a = 7.747 Å, b = 11.565 Å, c = 8.807 Å
α = 90.00°, β = 90.00°, γ = 90.00°
Fractional coordinates of all 20 atoms:
Cs 0.250 0.014 0.215
Cs 0.250 0.486 0.215
Cs 0.750 0.514 0.785
Cs 0.750 0.986 0.785
Sr 0.250 0.750 0.757
Sr 0.750 0.250 0.243
Ac 0.250 0.250 0.736
Ac 0.750 0.750 0.264
Cl 0.016 0.250 0.011
Cl 0.025 0.250 0.462
Cl 0.250 0.001 0.778
Cl 0.250 0.499 0.778
Cl 0.475 0.250 0.462
Cl 0.484 0.250 0.011
Cl 0.516 0.750 0.989
Cl 0.525 0.750 0.538
Cl 0.750 0.501 0.222
Cl 0.750 0.999 0.222
Cl 0.975 0.750 0.538
Cl 0.984 0.750 0.989



TiNb2Al3: theoretical X-ray powder pattern (Cu Kα X-rays), based on a crystal structure in Alexandria, relaxed with GGA-PBE.

Main lines, by angle (10° ≤ 2θ ≤ 90°):
2theta, Rel. int.
25.9, 44
36.8, 35
37.0, 35
41.4, 100
49.4, 14
53.2, 23
69.4, 20
69.6, 21
78.3, 18
89.9, 16

Atomic structure:
a = 7.692 Å, b = 7.692 Å, c = 2.821 Å
α = 90.00°, β = 90.00°, γ = 143.02°
Fractional coordinates of all 6 atoms:
Ti 0.000 0.000 0.000
Nb 0.334 0.666 0.000
Nb 0.666 0.334 0.000
Al 0.167 0.833 0.500
Al 0.500 0.500 0.500
Al 0.833 0.167 0.500



PuBe2H6: theoretical X-ray powder pattern (Cu Kα X-rays), based on a crystal structure in Alexandria, relaxed with GGA-PBE.

Main lines, by angle (10° ≤ 2θ ≤ 90°):
2theta, Rel. int.
21.0, 43
25.3, 85
33.1, 100
44.6, 23
49.8, 28
50.4, 29
52.0, 14
56.7, 23
63.5, 17
74.8, 20

Atomic structure:
a = 4.064 Å, b = 4.064 Å, c = 4.227 Å
α = 90.00°, β = 90.00°, γ = 120.00°
Fractional coordinates of all 9 atoms:
Pu 0.000 0.000 0.000
Be 0.333 0.667 0.500
Be 0.667 0.333 0.500
H 0.000 0.500 0.240
H 0.000 0.500 0.760
H 0.500 0.000 0.240
H 0.500 0.000 0.760
H 0.500 0.500 0.240
H 0.500 0.500 0.760